Entry 1:
Computed powder X-ray diffraction pattern
Compound: NdAlGa2Ni4
Radiation: Cu Kα
Structure: a crystal structure in Alexandria, relaxed with PBE

Most intense lines, 2θ = 5–70°, by angle:
(hkl)  2θ (°)  intensity
1 0 1  25.45  15
0 1 5  30.94  44
1 0 7  35.67  34
0 1 8  38.36  77
1 1 0  44.39  100
0 1 11  47.43  14
2 0 5  55.09  8
2 0 8  60.09  20
1 1 12  63.71  14
0 1 17  68.93  9

```
data_NdAlGa2Ni4
_space_group_name_H-M_alt 'R -3 m'
_space_group_IT_number 166
_space_group_name_Hall '-R 3 2"'
_cell_length_a 4.0816
_cell_length_b 4.0816
_cell_length_c 25.0977
_cell_angle_alpha 90.00
_cell_angle_beta 90.00
_cell_angle_gamma 120.00
loop_
_atom_site_label
_atom_site_type_symbol
_atom_site_fract_x
_atom_site_fract_y
_atom_site_fract_z
_atom_site_occupancy
Nd1 Nd 0.0000 0.0000 0.0000 1
Al1 Al 0.0000 0.0000 0.5000 1
Ga1 Ga 0.0000 0.0000 0.2391 1
Ni1 Ni 0.0000 0.0000 0.1344 1
Ni2 Ni 0.0000 0.0000 0.4065 1
```

***

Entry 2:
Computed powder X-ray diffraction pattern
Compound: NdAlGaPd
Radiation: Cu Kα
Structure: a crystal structure in Alexandria, relaxed with PBE

Most intense lines, 2θ = 5–70°, by angle:
(hkl)  2θ (°)  intensity
1 0 1  24.67  12
0 1 2  26.54  47
1 0 4  33.06  100
0 0 6  33.85  17
0 1 5  37.28  13
1 1 0  42.25  63
0 1 8  52.26  15
0 2 4  54.67  24
1 1 6  55.20  26
1 0 10  63.74  15

```
data_NdAlGaPd
_space_group_name_H-M_alt 'R 3 m'
_space_group_IT_number 160
_space_group_name_Hall 'R 3 -2"'
_cell_length_a 4.2785
_cell_length_b 4.2785
_cell_length_c 15.8874
_cell_angle_alpha 90.00
_cell_angle_beta 90.00
_cell_angle_gamma 120.00
loop_
_atom_site_label
_atom_site_type_symbol
_atom_site_fract_x
_atom_site_fract_y
_atom_site_fract_z
_atom_site_occupancy
Nd1 Nd 0.0000 0.0000 0.0000 1
Al1 Al 0.0000 0.0000 0.7921 1
Ga1 Ga 0.0000 0.0000 0.2152 1
Pd1 Pd 0.0000 0.0000 0.4965 1
```

***

Entry 3:
Computed powder X-ray diffraction pattern
Compound: NdAlGaPd3
Radiation: Cu Kα
Structure: a crystal structure in Alexandria, relaxed with PBE

Most intense lines, 2θ = 5–70°, by angle:
(hkl)  2θ (°)  intensity
1 3 1  29.95  31
2 2 0  30.49  98
0 4 1  32.98  33
0 2 2  34.75  82
2 4 0  39.78  21
2 0 2  41.79  100
1 5 1  42.09  35
2 4 1  42.97  31
0 4 2  43.25  21
0 0 4  65.76  23

```
data_NdAlGaPd3
_space_group_name_H-M_alt 'C m c m'
_space_group_IT_number 63
_space_group_name_Hall '-C 2c 2'
_cell_length_a 6.660
_cell_length_b 12.367
_cell_length_c 5.682
_cell_angle_alpha 90.00
_cell_angle_beta 90.00
_cell_angle_gamma 90.00
loop_
_atom_site_label
_atom_site_type_symbol
_atom_site_fract_x
_atom_site_fract_y
_atom_site_fract_z
_atom_site_occupancy
Nd1 Nd 0.000 0.209 0.250 1
Al1 Al 0.000 0.459 0.250 1
Ga1 Ga 0.000 0.133 0.750 1
Pd1 Pd 0.000 0.336 0.750 1
Pd2 Pd 0.207 0.000 0.000 1
```

***

Entry 4:
Computed powder X-ray diffraction pattern
Compound: Pr2Nd2AlGa4
Radiation: Cu Kα
Structure: a crystal structure in Alexandria, relaxed with PBE

Most intense lines, 2θ = 5–70°, by angle:
(hkl)  2θ (°)  intensity
2 0 0  24.80  16
2 0 2  31.81  100
1 0 3  32.18  16
2 2 0  35.36  53
0 0 4  39.83  9
2 1 3  41.05  14
4 0 0  50.87  19
2 2 4  54.30  14
3 2 3  55.27  8
4 2 2  61.26  30

```
data_Pr2Nd2AlGa4
_space_group_name_H-M_alt 'I 4/m m m'
_space_group_IT_number 139
_space_group_name_Hall '-I 4 2'
_cell_length_a 7.180
_cell_length_b 7.180
_cell_length_c 9.053
_cell_angle_alpha 90.00
_cell_angle_beta 90.00
_cell_angle_gamma 90.00
loop_
_atom_site_label
_atom_site_type_symbol
_atom_site_fract_x
_atom_site_fract_y
_atom_site_fract_z
_atom_site_occupancy
Pr1 Pr 0.000 0.000 0.186 1
Nd1 Nd 0.000 0.500 0.250 1
Al1 Al 0.000 0.000 0.500 1
Ga1 Ga 0.244 0.244 0.500 1
```

***

Entry 5:
Computed powder X-ray diffraction pattern
Compound: PrNdAlGa
Radiation: Cu Kα
Structure: a crystal structure in Alexandria, relaxed with PBE

Most intense lines, 2θ = 5–70°, by angle:
(hkl)  2θ (°)  intensity
1 0 2  26.19  41
1 1 1  30.00  100
0 1 3  30.64  54
0 0 4  31.18  24
1 1 3  37.45  38
1 0 4  37.91  18
0 2 0  39.96  24
2 0 0  42.79  20
2 1 3  53.54  22
2 2 0  60.01  28

```
data_PrNdAlGa
_space_group_name_H-M_alt 'A m m 2'
_space_group_IT_number 38
_cell_length_a 4.226
_cell_length_b 4.513
_cell_length_c 11.475
_cell_angle_alpha 90.00
_cell_angle_beta 90.00
_cell_angle_gamma 90.00
loop_
_space_group_symop_operation_xyz
'x,y,z'
'-x,-y,z'
'-x,y,z'
'x,-y,z'
'x,y+1/2,z+1/2'
'-x,-y+1/2,z+1/2'
'-x,y+1/2,z+1/2'
'x,-y+1/2,z+1/2'
loop_
_atom_site_label
_atom_site_type_symbol
_atom_site_fract_x
_atom_site_fract_y
_atom_site_fract_z
_atom_site_occupancy
Pr1 Pr 0.000 0.000 0.000 1
Nd1 Nd 0.500 0.000 0.285 1
Al1 Al 0.000 0.000 0.708 1
Ga1 Ga 0.500 0.000 0.572 1
```

***

Entry 6:
Computed powder X-ray diffraction pattern
Compound: NdYAlGa
Radiation: Cu Kα
Structure: a crystal structure in Alexandria, relaxed with PBE

Most intense lines, 2θ = 5–70°, by angle:
(hkl)  2θ (°)  intensity
0 0 2  15.76  16
1 0 2  26.72  30
1 1 1  30.47  100
0 1 3  31.15  44
0 0 4  31.83  23
1 1 3  38.13  44
1 0 4  38.70  17
0 2 0  40.39  23
2 0 0  43.66  21
2 1 3  54.60  18

```
data_NdYAlGa
_space_group_name_H-M_alt 'A m m 2'
_space_group_IT_number 38
_cell_length_a 4.146
_cell_length_b 4.466
_cell_length_c 11.244
_cell_angle_alpha 90.00
_cell_angle_beta 90.00
_cell_angle_gamma 90.00
loop_
_space_group_symop_operation_xyz
'x,y,z'
'-x,-y,z'
'-x,y,z'
'x,-y,z'
'x,y+1/2,z+1/2'
'-x,-y+1/2,z+1/2'
'-x,y+1/2,z+1/2'
'x,-y+1/2,z+1/2'
loop_
_atom_site_label
_atom_site_type_symbol
_atom_site_fract_x
_atom_site_fract_y
_atom_site_fract_z
_atom_site_occupancy
Nd1 Nd 0.000 0.000 0.000 1
Y1 Y 0.500 0.000 0.281 1
Al1 Al 0.000 0.000 0.713 1
Ga1 Ga 0.500 0.000 0.569 1
```